Simulated X-ray powder pattern
Compound: Tb3Ga9Fe2
Radiation: Cu Kα X-rays
Structure: the PBE geometry in Alexandria
No peak broadening, texture or thermal motion is included.

Crystal structure
```
14
Lattice="-2.1098 4.7308 6.2110 2.1098 -4.7308 6.2110 2.1098 4.7308 -6.2110" Properties=species:S:1:pos:R:3 pbc="T T T"
Tb 0.0000 0.0000 0.0000
Tb 0.0000 0.0000 3.7890
Tb 0.0000 0.0000 8.6330
Ga 2.1098 -1.2992 1.8974
Ga 2.1098 -2.0442 4.5937
Ga 2.1098 1.2992 1.8974
Ga 0.0000 2.6866 1.6173
Ga 0.0000 4.7308 0.0000
Ga 2.1098 2.0442 4.5937
Ga 0.0000 3.4316 4.3136
Ga 0.0000 6.7750 1.6173
Ga 0.0000 6.0300 4.3136
Fe 2.1098 2.9989 0.0000
Fe 0.0000 1.7319 6.2110
```

Top 6 peaks for 2θ from 10° to 80°, sorted by position:
2θ (°), I_rel
30.2, 21
34.5, 20
35.5, 36
35.8, 100
37.2, 20
42.9, 33